# 1
# ScNi3
Simulated XRD peak list, copper Kα. Input: a cell relaxed with PBE.
Lines closer than 0.1° are merged.

Structure:
```
data_ScNi3
_symmetry_space_group_name_H-M 'P m -3 m'
_symmetry_Int_Tables_number 221
_symmetry_space_group_name_Hall '-P 4 2 3'
_cell_length_a 3.720
_cell_length_b 3.720
_cell_length_c 3.720
_cell_angle_alpha 90.00
_cell_angle_beta 90.00
_cell_angle_gamma 90.00
loop_
_atom_site_label
_atom_site_fract_x
_atom_site_fract_y
_atom_site_fract_z
_atom_site_occupancy
Sc1 0.000 0.000 0.000 1
Ni1 0.000 0.500 0.500 1
```

Main lines, in order of rising 2θ (10 to 80 degrees two-theta):
2θ (°)	intensity
23.9	2
34.1	2
42.1	100
49.0	47
55.2	1
61.0	1
71.8	27



# 2
# Sc4Ni
Simulated XRD peak list, copper Kα. Input: a cell relaxed with PBE.
Lines closer than 0.1° are merged.

Structure:
a = 9.855 Å, b = 9.855 Å, c = 9.855 Å
α = 90.00°, β = 90.00°, γ = 90.00°
Space group Fd-3m (No. 227, origin choice 2)
One atom of each set of equivalent atoms:
1 Sc 0.014 0.014 0.236 x32
2 Ni 0.125 0.125 0.625 x8

Main lines, in order of rising 2θ (10 to 80 degrees two-theta):
2θ (°)	intensity
25.6	44
30.1	17
31.4	100
36.5	18
39.9	36
48.0	28
52.5	53
62.5	27



# 3
# ScNi3
Simulated XRD peak list, copper Kα. Input: a cell relaxed with PBE.
Lines closer than 0.1° are merged.

Structure:
```
data_ScNi3
_symmetry_space_group_name_H-M 'P 63/m m c'
_symmetry_Int_Tables_number 194
_symmetry_space_group_name_Hall '-P 6c 2c'
_cell_length_a 5.3017
_cell_length_b 5.3017
_cell_length_c 4.2216
_cell_angle_alpha 90.00
_cell_angle_beta 90.00
_cell_angle_gamma 120.00
loop_
_atom_site_label
_atom_site_fract_x
_atom_site_fract_y
_atom_site_fract_z
_atom_site_occupancy
Sc1 0.3333 0.6667 0.2500 1
Ni1 0.1576 0.3153 0.7500 1
```

Main lines, in order of rising 2θ (10 to 80 degrees two-theta):
2θ (°)	intensity
19.3	6
39.2	25
42.8	26
44.9	100
57.4	2
59.5	14
71.1	14
80.0	16



# 4
# Sc2Ni7
Simulated XRD peak list, copper Kα. Input: a cell relaxed with PBE.
Lines closer than 0.1° are merged.

Structure:
```
data_Sc2Ni7
_symmetry_space_group_name_H-M 'P 63/m m c'
_symmetry_Int_Tables_number 194
_symmetry_space_group_name_Hall '-P 6c 2c'
_cell_length_a 4.7707
_cell_length_b 4.7707
_cell_length_c 23.6607
_cell_angle_alpha 90.00
_cell_angle_beta 90.00
_cell_angle_gamma 120.00
loop_
_atom_site_label
_atom_site_fract_x
_atom_site_fract_y
_atom_site_fract_z
_atom_site_occupancy
Sc1 0.3333 0.6667 0.0290 1
Sc2 0.3333 0.6667 0.1742 1
Ni1 0.0000 0.0000 0.0000 1
Ni2 0.0000 0.0000 0.1664 1
Ni3 0.1666 0.3332 0.7500 1
Ni4 0.1679 0.3357 0.5833 1
Ni5 0.3333 0.6667 0.6666 1
```

Main lines, in order of rising 2θ (10 to 80 degrees two-theta):
2θ (°)	intensity
21.8	26
37.7	18
44.0	26
44.4	100
46.0	31
48.1	37
49.8	22
72.7	20



# 5
# Sc3Si4Ni4
Simulated XRD peak list, copper Kα. Input: a cell relaxed with PBE.
Lines closer than 0.1° are merged.

Structure:
```
data_Sc3Si4Ni4
_symmetry_space_group_name_H-M 'I m m m'
_symmetry_Int_Tables_number 71
_symmetry_space_group_name_Hall '-I 2 2'
_cell_length_a 3.858
_cell_length_b 6.480
_cell_length_c 12.691
_cell_angle_alpha 90.00
_cell_angle_beta 90.00
_cell_angle_gamma 90.00
loop_
_atom_site_label
_atom_site_fract_x
_atom_site_fract_y
_atom_site_fract_z
_atom_site_occupancy
Sc1 0.000 0.000 0.000 1
Sc2 0.000 0.500 0.127 1
Si1 0.000 0.000 0.220 1
Si2 0.000 0.188 0.500 1
Ni1 0.000 0.304 0.325 1
```

Main lines, in order of rising 2θ (10 to 80 degrees two-theta):
2θ (°)	intensity
14.0	48
36.9	100
39.3	66
42.2	48
42.8	28
47.1	49
47.3	46
51.5	40



# 6
# ScSi2Ni2
Simulated XRD peak list, copper Kα. Input: a cell relaxed with PBE.
Lines closer than 0.1° are merged.

Structure:
```
data_ScSi2Ni2
_symmetry_space_group_name_H-M 'I 4/m m m'
_symmetry_Int_Tables_number 139
_symmetry_space_group_name_Hall '-I 4 2'
_cell_length_a 3.803
_cell_length_b 3.803
_cell_length_c 9.638
_cell_angle_alpha 90.00
_cell_angle_beta 90.00
_cell_angle_gamma 90.00
loop_
_atom_site_label
_atom_site_fract_x
_atom_site_fract_y
_atom_site_fract_z
_atom_site_occupancy
Sc1 0.000 0.000 0.000 1
Si1 0.000 0.000 0.380 1
Ni1 0.000 0.500 0.250 1
```

Main lines, in order of rising 2θ (10 to 80 degrees two-theta):
2θ (°)	intensity
18.4	34
36.6	23
37.3	12
38.3	100
47.8	43
50.9	27
68.0	14
70.0	13



# 7
# ScSiNi
Simulated XRD peak list, copper Kα. Input: a cell relaxed with PBE.
Lines closer than 0.1° are merged.

Structure:
```
data_ScSiNi
_symmetry_space_group_name_H-M 'P n m a'
_symmetry_Int_Tables_number 62
_symmetry_space_group_name_Hall '-P 2ac 2n'
_cell_length_a 6.439
_cell_length_b 4.010
_cell_length_c 6.953
_cell_angle_alpha 90.00
_cell_angle_beta 90.00
_cell_angle_gamma 90.00
loop_
_atom_site_label
_atom_site_fract_x
_atom_site_fract_y
_atom_site_fract_z
_atom_site_occupancy
Sc1 0.008 0.250 0.202 1
Si1 0.200 0.250 0.596 1
Ni1 0.181 0.750 0.423 1
```

Main lines, in order of rising 2θ (10 to 80 degrees two-theta):
2θ (°)	intensity
29.2	30
37.0	43
38.1	100
44.2	31
45.2	89
60.6	17
65.1	18
74.1	20